Record 1
Computed powder XRD pattern of Tb7Pm12Pb for Cu Kα (λ = 1.5418 Å), from a PBE-relaxed structure.
No peak broadening, texture or thermal motion is included.

abc: 11.7083 11.7083 17.5730
angles: 90.00 90.00 120.00
Space group R-3m (No. 166, hexagonal axes)
One atom of each set of equivalent atoms:
Tb: 0.0000 0.0000 0.0000 x3
Tb: 0.1058 0.2116 0.2535 x18
Pm: 0.0670 0.5335 0.2524 x18
Pm: 0.0775 0.5387 0.5754 x18
Pb: 0.0000 0.0000 0.5000 x3

Most intense lines, 5 to 70 degrees two-theta, in order of rising 2θ:
- 3.513 Å, I = 5, (1 2 2)
- 3.380 Å, I = 10, (3 0 0)
- 3.320 Å, I = 7, (0 2 4)
- 2.928 Å, I = 100, (0 0 6)
- 2.678 Å, I = 8, (3 1 2)
- 2.213 Å, I = 20, (0 3 6)
- 1.951 Å, I = 15, (3 3 0)
- 1.691 Å, I = 14, (3 0 9)
- 1.624 Å, I = 16, (6 0 3)
- 1.464 Å, I = 7, (0 0 12)

***

Record 2
Computed powder XRD pattern of Pm6Tc2Pb for Cu Kα (λ = 1.5418 Å), from a PBE-relaxed structure.
No peak broadening, texture or thermal motion is included.

abc: 9.823 9.839 10.775
angles: 90.00 90.00 90.00
Space group Immm (No. 71)
One atom of each set of equivalent atoms:
Pm: 0.000 0.216 0.236 x8
Pm: 0.202 0.500 0.185 x8
Pm: 0.217 0.307 0.500 x8
Tc: 0.000 0.375 0.000 x4
Tc: 0.000 0.500 0.388 x4
Pb: 0.000 0.000 0.000 x2
Pb: 0.000 0.000 0.500 x2

Most intense lines, 5 to 70 degrees two-theta, in order of rising 2θ:
- 3.107 Å, I = 12, (3 1 0)
- 2.921 Å, I = 100, (2 2 2)
- 2.781 Å, I = 26, (2 1 3)
- 2.694 Å, I = 49, (0 0 4)
- 2.644 Å, I = 34, (2 3 1)
- 2.457 Å, I = 33, (4 0 0)
- 2.035 Å, I = 13, (3 1 4)
- 1.687 Å, I = 15, (3 5 0)
- 1.609 Å, I = 17, (5 3 2)
- 1.429 Å, I = 12, (3 5 4)

***

Record 3
Computed powder XRD pattern of Pm4Te2Pb for Cu Kα (λ = 1.5418 Å), from a PBE-relaxed structure.
No peak broadening, texture or thermal motion is included.

abc: 9.648 13.963 13.984
angles: 90.00 90.00 90.00
Space group Fddd (No. 70, origin choice 2)
One atom of each set of equivalent atoms:
Pm: 0.064 0.281 0.469 x32
Te: 0.000 0.000 0.000 x16
Pb: 0.125 0.125 0.625 x8

Most intense lines, 5 to 70 degrees two-theta, in order of rising 2θ:
- 4.940 Å, I = 39, (0 2 2)
- 3.493 Å, I = 45, (0 4 0)
- 3.117 Å, I = 46, (1 3 3)
- 3.058 Å, I = 100, (3 1 1)
- 2.636 Å, I = 74, (1 1 5)
- 2.623 Å, I = 40, (2 4 2)
- 2.470 Å, I = 46, (0 4 4)
- 2.301 Å, I = 27, (3 3 3)
- 2.097 Å, I = 37, (2 0 6)
- 1.684 Å, I = 24, (3 5 5)